For LaGdGeIr, a crystal structure in Alexandria, relaxed with GGA-PBE gives the computed powder diffraction line list in this record (a wavelength of 1.5418 Å).

Peak list (10 most intense, 10 to 90 degrees two-theta, in order of rising 2θ)
2theta  I/Imax
21.3  10
35.1  100
41.4  5
50.5  18
55.4  2
63.0  37
67.3  2
74.2  11
78.2  2
84.8  16

Cell and atoms:
```
LaGdGeIr
1.0
7.2290 0.0000 0.0000
0.0000 7.2290 0.0000
0.0000 0.0000 7.2290
La Gd Ge Ir
4 4 4 4
Direct
0.0000 0.0000 0.0000 La
0.0000 0.5000 0.5000 La
0.5000 0.0000 0.5000 La
0.5000 0.5000 0.0000 La
0.0000 0.0000 0.5000 Gd
0.0000 0.5000 0.0000 Gd
0.5000 0.0000 0.0000 Gd
0.5000 0.5000 0.5000 Gd
0.2500 0.2500 0.2500 Ge
0.2500 0.7500 0.7500 Ge
0.7500 0.2500 0.7500 Ge
0.7500 0.7500 0.2500 Ge
0.2500 0.2500 0.7500 Ir
0.2500 0.7500 0.2500 Ir
0.7500 0.2500 0.2500 Ir
0.7500 0.7500 0.7500 Ir
```

=====

For KNpUSe4, a crystal structure in Alexandria, relaxed with GGA-PBE gives the computed powder diffraction line list in this record (a wavelength of 1.5418 Å).

Peak list (10 most intense, 10 to 90 degrees two-theta, in order of rising 2θ)
2theta  I/Imax
12.4  100
23.7  40
23.9  20
28.7  27
28.8  55
37.5  16
37.7  31
41.1  61
43.1  19
52.6  14

Cell and atoms:
```
KNpUSe4
1.0
-4.3637 4.3929 6.2267
4.3637 -4.3929 6.2267
4.3637 4.3929 -6.2267
K Np U Se
2 2 2 8
Direct
0.3749 0.1249 0.2500 K
0.6251 0.8751 0.7500 K
0.0000 0.5000 0.5000 Np
0.5000 0.5000 0.0000 Np
0.0000 0.0000 0.5000 U
0.0000 0.5000 0.0000 U
0.1949 0.7330 0.4619 Se
0.2283 0.2626 0.5343 Se
0.2283 0.6940 0.9657 Se
0.2290 0.2670 0.9619 Se
0.7710 0.7330 0.0381 Se
0.7717 0.3060 0.0343 Se
0.7717 0.7374 0.4657 Se
0.8051 0.2670 0.5381 Se
```